The following is a calculated X-ray powder pattern of SmEr2N3. It was derived from a crystal structure in OQMD, relaxed with PBE, using Cu Kα (λ = 1.5418 Å).
Lines closer than 0.1° are merged.

Cell and atoms:
```
SmEr2N3
1.0
3.465 0.000 0.000
-1.732 3.001 0.000
0.000 0.000 8.491
Sm Er N
1 2 3
direct
0.000 0.000 0.000
0.333 0.667 0.337
0.667 0.333 0.663
0.000 0.000 0.500
0.333 0.667 0.825
0.667 0.333 0.175
```

Most intense lines, 10° ≤ 2θ ≤ 80°, in order of falling intensity:
2θ = 31.62°, intensity 100, hkl 0 1 1; 2θ = 36.68°, intensity 71, hkl 1 0 2; 2θ = 52.84°, intensity 49, hkl 1 1 0; 2θ = 62.90°, intensity 45, hkl 2 0 1; 2θ = 66.04°, intensity 16, hkl 0 2 2; 2θ = 77.99°, intensity 8, hkl 2 0 4; 2θ = 10.42°, intensity 1, hkl 0 0 1